Diffraction record for MgZn. The powder XRD pattern is calculated, not measured: it uses a GGA-PBE-relaxed structure and Cu Kα X-rays.

The 10 most intense peaks (5° ≤ 2θ ≤ 70°), low angle first:
2θ = 17.9°, d 4.946, I = 79; 2θ = 29.5°, d 3.030, I = 25; 2θ = 34.7°, d 2.582, I = 22; 2θ = 36.0°, d 2.492, I = 48; 2θ = 40.6°, d 2.224, I = 100; 2θ = 41.2°, d 2.189, I = 33; 2θ = 42.0°, d 2.153, I = 23; 2θ = 45.3°, d 2.002, I = 15; 2θ = 55.0°, d 1.670, I = 11; 2θ = 55.8°, d 1.649, I = 14

Cell and atoms:
abc: 4.378 5.244 5.244
angles: 109.42 90.00 90.00
Fractional coordinates of all 6 atoms:
Mg  0.000  0.000  0.000
Mg  0.500  0.532  0.905
Mg  0.500  0.905  0.532
Zn  0.000  0.262  0.584
Zn  0.000  0.584  0.262
Zn  0.500  0.330  0.330

=====

Diffraction record for Mn3Sn. The powder XRD pattern is calculated, not measured: it uses a GGA-PBE-relaxed structure and Cu Kα X-rays.

The 8 most intense peaks (5° ≤ 2θ ≤ 70°), low angle first:
2θ = 25.2°, d 3.534, I = 12; 2θ = 29.2°, d 3.060, I = 7; 2θ = 41.7°, d 2.164, I = 100; 2θ = 49.4°, d 1.846, I = 7; 2θ = 51.7°, d 1.767, I = 2; 2θ = 60.5°, d 1.530, I = 16; 2θ = 66.6°, d 1.404, I = 3; 2θ = 68.6°, d 1.369, I = 3

Cell and atoms:
abc: 4.328 4.328 4.328
angles: 60.00 60.00 60.00
Fractional coordinates of all 4 atoms:
Mn  0.000  0.000  0.000
Mn  0.250  0.250  0.250
Mn  0.750  0.750  0.750
Sn  0.500  0.500  0.500

=====

Question: What is the formula in the second record?
Answer: Mn3Sn